# 1
For BaSbI, the PBE geometry in Alexandria gives the theoretical powder X-ray diffraction pattern in this record (CuKα).

Peak list (10 most intense, 2θ from 10° to 90°, in order of rising 2θ)
| 2θ/deg | I/Imax |
| --- | --- |
| 20.69 | 20.2 |
| 22.20 | 15.4 |
| 24.00 | 23.4 |
| 29.76 | 100.0 |
| 31.33 | 26.9 |
| 32.92 | 26.2 |
| 34.15 | 14.3 |
| 39.78 | 34.0 |
| 51.45 | 13.1 |
| 61.24 | 14.2 |

Crystal structure
abc: 4.528 25.755 4.537
angles: 90.00 90.00 90.00
Sites, in units of the cell vectors:
Ba  0.000  0.141  0.250
Ba  0.000  0.859  0.750
Ba  0.500  0.359  0.750
Ba  0.500  0.641  0.250
Sb  0.000  0.250  0.750
Sb  0.000  0.750  0.250
Sb  0.500  0.250  0.250
Sb  0.500  0.750  0.750
I  0.000  0.418  0.250
I  0.000  0.582  0.750
I  0.500  0.082  0.750
I  0.500  0.918  0.250



# 2
For Ba5SbI5, the PBE geometry in Alexandria gives the theoretical powder X-ray diffraction pattern in this record (CuKα).

Peak list (10 most intense, 2θ from 10° to 90°, in order of rising 2θ)
| 2θ/deg | I/Imax |
| --- | --- |
| 25.25 | 100.0 |
| 35.88 | 12.9 |
| 36.04 | 64.6 |
| 44.41 | 14.0 |
| 44.59 | 13.9 |
| 51.91 | 8.8 |
| 58.42 | 9.3 |
| 58.58 | 21.2 |
| 64.77 | 8.9 |
| 64.89 | 8.7 |

Crystal structure
abc: 8.631 8.631 10.010
angles: 106.99 106.99 48.17
Sites, in units of the cell vectors:
Ba  0.000  0.000  0.000
Ba  0.339  0.339  0.157
Ba  0.343  0.343  0.681
Ba  0.657  0.657  0.319
Ba  0.661  0.661  0.843
Sb  0.500  0.500  0.000
I  0.164  0.164  0.824
I  0.171  0.171  0.339
I  0.500  0.500  0.500
I  0.829  0.829  0.661
I  0.836  0.836  0.176



# 3
For Ba8Sb4I3, the PBE geometry in Alexandria gives the theoretical powder X-ray diffraction pattern in this record (CuKα).

Peak list (10 most intense, 2θ from 10° to 90°, in order of rising 2θ)
| 2θ/deg | I/Imax |
| --- | --- |
| 24.72 | 86.1 |
| 24.91 | 84.7 |
| 25.07 | 83.8 |
| 35.38 | 66.1 |
| 35.50 | 100.0 |
| 35.75 | 31.2 |
| 43.75 | 36.9 |
| 43.95 | 33.9 |
| 57.33 | 30.1 |
| 57.88 | 30.1 |

Crystal structure
abc: 10.116 10.116 10.046
angles: 119.56 119.56 90.80
Sites, in units of the cell vectors:
Ba  0.238  0.762  0.000
Ba  0.249  0.249  0.473
Ba  0.252  0.252  0.015
Ba  0.261  0.739  0.500
Ba  0.739  0.261  0.500
Ba  0.748  0.748  0.985
Ba  0.751  0.751  0.527
Ba  0.762  0.238  0.000
Sb  0.000  0.000  0.000
Sb  0.000  0.500  0.000
Sb  0.500  0.000  0.000
Sb  0.500  0.500  0.500
I  0.000  0.000  0.500
I  0.000  0.500  0.500
I  0.500  0.000  0.500